(1)
Tl2H6Pt: computed powder X-ray diffraction pattern (Cu Kα), based on the PBE geometry in Alexandria.
No peak broadening, texture or thermal motion is included.

Structure:
Cell: 8.189 8.189 8.189 Å, 90.00 90.00 90.00°
Space group Fm-3m (No. 225)
Symmetry-distinct sites (fractional):
1 Tl 0.250 0.250 0.250 x8
2 H 0.000 0.000 0.203 x24
3 Pt 0.000 0.000 0.000 x4

The 6 most intense peaks (10° ≤ 2θ ≤ 80°), low angle first:
Position (°2θ), d_spacing, I/Imax
18.8, 4.728, 25
21.7, 4.094, 14
30.9, 2.895, 100
44.2, 2.047, 19
54.9, 1.672, 41
73.1, 1.295, 18

---

(2)
CeSm7Y4: computed powder X-ray diffraction pattern (Cu Kα), based on the PBE geometry in Alexandria.
No peak broadening, texture or thermal motion is included.

Structure:
Cell: 5.676 7.092 19.703 Å, 90.00 90.00 90.00°
Space group Amm2 (No. 38)
Symmetry-distinct sites (fractional):
1 Ce 0.000 0.000 0.000 x2
2 Sm 0.000 0.000 0.165 x2
3 Sm 0.000 0.000 0.504 x2
4 Sm 0.000 0.000 0.671 x2
5 Sm 0.500 0.000 0.249 x2
6 Sm 0.500 0.000 0.416 x2
7 Sm 0.500 0.000 0.760 x2
8 Sm 0.500 0.000 0.926 x2
9 Y 0.000 0.250 0.336 x4
10 Y 0.500 0.249 0.087 x4

The 6 most intense peaks (10° ≤ 2θ ≤ 80°), low angle first:
Position (°2θ), d_spacing, I/Imax
31.1, 2.877, 80
31.5, 2.841, 100
40.7, 2.217, 28
44.8, 2.021, 28
55.8, 1.648, 19
61.7, 1.504, 29

---

(3)
NpBeSi2Rh: computed powder X-ray diffraction pattern (Cu Kα), based on the PBE geometry in Alexandria.
No peak broadening, texture or thermal motion is included.

Structure:
Cell: 3.892 3.892 10.233 Å, 90.00 90.00 90.00°
Space group I-4m2 (No. 119)
Symmetry-distinct sites (fractional):
1 Np 0.000 0.000 0.000 x2
2 Be 0.000 0.500 0.750 x2
3 Si 0.000 0.000 0.384 x4
4 Rh 0.000 0.500 0.250 x2

The 6 most intense peaks (10° ≤ 2θ ≤ 80°), low angle first:
Position (°2θ), d_spacing, I/Imax
24.5, 3.638, 100
35.0, 2.564, 91
37.1, 2.424, 95
46.7, 1.946, 32
50.4, 1.811, 29
59.7, 1.550, 48

---

(4)
TiRe3Mo4: computed powder X-ray diffraction pattern (Cu Kα), based on the PBE geometry in Alexandria.
No peak broadening, texture or thermal motion is included.

Structure:
Cell: 6.263 6.292 6.272 Å, 90.00 90.00 90.00°
Space group Pmna (No. 53)
Symmetry-distinct sites (fractional):
1 Ti 0.000 0.000 0.000 x2
2 Re 0.000 0.500 0.000 x2
3 Re 0.250 0.249 0.250 x4
4 Mo 0.000 0.000 0.500 x2
5 Mo 0.000 0.500 0.500 x2
6 Mo 0.250 0.249 0.750 x4

The 6 most intense peaks (10° ≤ 2θ ≤ 80°), low angle first:
Position (°2θ), d_spacing, I/Imax
20.0, 4.442, 6
40.7, 2.219, 100
58.7, 1.573, 6
58.9, 1.567, 11
73.9, 1.283, 11
74.1, 1.280, 23

---

(5)
Ho3InTe2: computed powder X-ray diffraction pattern (Cu Kα), based on the PBE geometry in Alexandria.
No peak broadening, texture or thermal motion is included.

Structure:
Cell: 4.208 6.164 13.505 Å, 90.00 90.00 90.00°
Space group Immm (No. 71)
Symmetry-distinct sites (fractional):
1 Ho 0.000 0.000 0.000 x2
2 Ho 0.000 0.000 0.336 x4
3 In 0.000 0.500 0.000 x2
4 Te 0.000 0.500 0.331 x4

The 6 most intense peaks (10° ≤ 2θ ≤ 80°), low angle first:
Position (°2θ), d_spacing, I/Imax
29.0, 3.082, 51
29.0, 3.074, 100
40.1, 2.251, 21
41.5, 2.177, 76
50.2, 1.818, 23
52.7, 1.738, 19

---

(6)
Ba2Al6Si3: computed powder X-ray diffraction pattern (Cu Kα), based on the PBE geometry in Alexandria.
No peak broadening, texture or thermal motion is included.

Structure:
Cell: 8.1356 8.1356 4.2629 Å, 90.00 90.00 120.00°
Space group P-62m (No. 189)
Symmetry-distinct sites (fractional):
1 Ba 0.3333 0.6667 0.0000 x2
2 Al 0.0000 0.2841 0.5000 x3
3 Al 0.0000 0.8139 0.0000 x3
4 Si 0.0000 0.6337 0.5000 x3

The 6 most intense peaks (10° ≤ 2θ ≤ 80°), low angle first:
Position (°2θ), d_spacing, I/Imax
21.8, 4.068, 34
30.4, 2.943, 100
33.7, 2.663, 20
38.3, 2.349, 31
39.9, 2.259, 29
64.4, 1.446, 22

---

(7)
PuThAs2: computed powder X-ray diffraction pattern (Cu Kα), based on the PBE geometry in Alexandria.
No peak broadening, texture or thermal motion is included.

Structure:
Cell: 5.960 5.960 11.909 Å, 90.00 90.00 90.00°
Space group I4_1/amd (No. 141, origin choice 2)
Symmetry-distinct sites (fractional):
1 Pu 0.000 0.250 0.375 x4
2 Th 0.000 0.250 0.875 x4
3 As 0.000 0.250 0.128 x8

The 6 most intense peaks (10° ≤ 2θ ≤ 80°), low angle first:
Position (°2θ), d_spacing, I/Imax
25.9, 3.440, 46
30.0, 2.979, 100
42.9, 2.106, 76
53.3, 1.720, 27
70.7, 1.332, 36
78.7, 1.216, 27

---

(8)
LiMg2AlO4: computed powder X-ray diffraction pattern (Cu Kα), based on the PBE geometry in Alexandria.
No peak broadening, texture or thermal motion is included.

Structure:
Cell: 4.586 4.586 8.699 Å, 90.00 90.00 90.00°
Space group I-42m (No. 121)
Symmetry-distinct sites (fractional):
1 Li 0.000 0.000 0.000 x2
2 Mg 0.000 0.500 0.250 x4
3 Al 0.000 0.000 0.500 x2
4 O 0.225 0.225 0.381 x8

The 6 most intense peaks (10° ≤ 2θ ≤ 80°), low angle first:
Position (°2θ), d_spacing, I/Imax
21.9, 4.057, 27
34.5, 2.600, 100
56.8, 1.622, 18
58.5, 1.578, 34
68.2, 1.376, 20
71.2, 1.324, 9